Simulated PXRD pattern of SrCe2InN4 for Cu Kα X-rays, from a cell relaxed with GGA-PBE.
Peak positions follow from Bragg's law for the DFT cell and can differ from measured ones.

Structural model:
Cell lengths 6.3780, 6.3780, 12.3542 Å; angles 90.00, 90.00, 146.84 degrees
Sites, in units of the cell vectors:
1 Sr 0.1033 0.8967 0.7500
2 Sr 0.8967 0.1033 0.2500
3 Ce 0.3713 0.6287 0.5407
4 Ce 0.3713 0.6287 0.9593
5 Ce 0.6287 0.3713 0.0407
6 Ce 0.6287 0.3713 0.4593
7 In 0.1581 0.8419 0.2500
8 In 0.8419 0.1581 0.7500
9 N 0.0000 0.0000 0.0000
10 N 0.0000 0.0000 0.5000
11 N 0.2576 0.7424 0.1068
12 N 0.2576 0.7424 0.3932
13 N 0.4442 0.5558 0.7500
14 N 0.5558 0.4442 0.2500
15 N 0.7424 0.2576 0.6068
16 N 0.7424 0.2576 0.8932

The 12 most intense peaks (10° ≤ 2θ ≤ 90°), sorted by position:
- 2θ = 16.18°, 5.479 Å, I = 28
- 2θ = 26.09°, 3.415 Å, I = 23
- 2θ = 28.91°, 3.089 Å, I = 43
- 2θ = 29.22°, 3.056 Å, I = 50
- 2θ = 29.40°, 3.038 Å, I = 100
- 2θ = 33.67°, 2.662 Å, I = 22
- 2θ = 36.14°, 2.485 Å, I = 95
- 2θ = 39.33°, 2.291 Å, I = 27
- 2θ = 41.57°, 2.172 Å, I = 24
- 2θ = 49.92°, 1.827 Å, I = 26
- 2θ = 50.11°, 1.820 Å, I = 46
- 2θ = 59.09°, 1.563 Å, I = 20